# Ac2Al2Ag15
Simulated XRD peak list, Cu Kα (weighted mean of Kα1 and Kα2). Input: a DFT-relaxed cell (GGA-PBE, Alexandria).

Crystal structure
```
data_Ac2Al2Ag15
_cell_length_a 9.7413
_cell_length_b 9.7413
_cell_length_c 14.3928
_cell_angle_alpha 90.00
_cell_angle_beta 90.00
_cell_angle_gamma 120.00
_symmetry_space_group_name_H-M 'R -3 m'
_symmetry_Int_Tables_number 166
_symmetry_space_group_name_Hall '-R 3 2"'
loop_
_atom_site_label
_atom_site_type_symbol
_atom_site_fract_x
_atom_site_fract_y
_atom_site_fract_z
Ac1 Ac 0.0000 0.0000 0.1574
Al1 Al 0.0000 0.0000 0.4056
Ag1 Ag 0.0000 0.2978 0.5000
Ag2 Ag 0.0000 0.5000 0.0000
Ag3 Ag 0.0004 0.5002 0.3481
```

Main lines, low angle first (2θ from 5° to 70°):
(1 1 3), 26.1 deg, intensity 26; (3 0 0), 31.8 deg, intensity 23; (0 2 4), 32.7 deg, intensity 18; (2 2 0), 36.9 deg, intensity 42; (3 0 3), 37.1 deg, intensity 100; (0 0 6), 37.5 deg, intensity 35; (2 2 3), 41.6 deg, intensity 29; (2 2 6), 53.6 deg, intensity 19; (3 3 3), 60.2 deg, intensity 18; (6 0 0), 66.5 deg, intensity 16



# Y3Er3Sc2
Simulated XRD peak list, Cu Kα (weighted mean of Kα1 and Kα2). Input: a DFT-relaxed cell (GGA-PBE, Alexandria).

Crystal structure
```
data_Y3Er3Sc2
_cell_length_a 8.9101
_cell_length_b 8.9101
_cell_length_c 10.8754
_cell_angle_alpha 90.00
_cell_angle_beta 90.00
_cell_angle_gamma 120.00
_symmetry_space_group_name_H-M 'R 3 2'
_symmetry_Int_Tables_number 155
_symmetry_space_group_name_Hall 'R 3 2"'
loop_
_atom_site_label
_atom_site_type_symbol
_atom_site_fract_x
_atom_site_fract_y
_atom_site_fract_z
Y1 Y 0.0000 0.2516 0.0000
Er1 Er 0.0000 0.7504 0.5000
Sc1 Sc 0.0000 0.0000 0.2514
```

Main lines, low angle first (2θ from 5° to 70°):
(1 1 0), 19.9 deg, intensity 22; (2 0 2), 28.4 deg, intensity 15; (1 1 3), 31.8 deg, intensity 100; (1 2 2), 34.9 deg, intensity 29; (0 4 2), 50.2 deg, intensity 12; (3 2 1), 52.4 deg, intensity 12; (1 2 5), 52.5 deg, intensity 12; (2 3 2), 54.5 deg, intensity 15; (4 0 4), 58.7 deg, intensity 12; (5 1 1), 68.2 deg, intensity 11



# AgBi2IO6
Simulated XRD peak list, Cu Kα (weighted mean of Kα1 and Kα2). Input: a DFT-relaxed cell (GGA-PBE, Alexandria).

Crystal structure
```
data_AgBi2IO6
_cell_length_a 5.9447
_cell_length_b 5.9447
_cell_length_c 17.7160
_cell_angle_alpha 90.00
_cell_angle_beta 90.00
_cell_angle_gamma 120.00
_symmetry_space_group_name_H-M 'R 3'
_symmetry_Int_Tables_number 146
_symmetry_space_group_name_Hall 'R 3'
loop_
_atom_site_label
_atom_site_type_symbol
_atom_site_fract_x
_atom_site_fract_y
_atom_site_fract_z
Ag1 Ag 0.0000 0.0000 0.0000
Bi1 Bi 0.0000 0.0000 0.2689
Bi2 Bi 0.0000 0.0000 0.7338
I1 I 0.0000 0.0000 0.4701
O1 O 0.0152 0.7266 0.5157
O2 O 0.0176 0.3927 0.0108
```

Main lines, low angle first (2θ from 5° to 70°):
(0 1 2), 19.9 deg, intensity 18; (1 0 4), 26.5 deg, intensity 100; (1 1 0), 30.1 deg, intensity 79; (1 0 7), 39.7 deg, intensity 15; (0 2 4), 40.5 deg, intensity 34; (0 1 8), 44.5 deg, intensity 12; (2 1 4), 51.3 deg, intensity 33; (3 0 0), 53.4 deg, intensity 22; (2 2 0), 62.5 deg, intensity 11; (4 -3 4), 69.1 deg, intensity 14



# DyEr14Tm
Simulated XRD peak list, Cu Kα (weighted mean of Kα1 and Kα2). Input: a DFT-relaxed cell (GGA-PBE, Alexandria).

Crystal structure
```
data_DyEr14Tm
_cell_length_a 10.9618
_cell_length_b 8.0601
_cell_length_c 11.0532
_cell_angle_alpha 90.00
_cell_angle_beta 90.00
_cell_angle_gamma 90.00
_symmetry_space_group_name_H-M 'A m m 2'
_symmetry_Int_Tables_number 38
_symmetry_space_group_name_Hall 'A 2 -2'
loop_
_atom_site_label
_atom_site_type_symbol
_atom_site_fract_x
_atom_site_fract_y
_atom_site_fract_z
Dy1 Dy 0.0000 0.0000 0.0000
Er1 Er 0.0000 0.2045 0.7205
Er2 Er 0.2319 0.0000 0.2085
Er3 Er 0.2500 0.2092 0.9292
Er4 Er 0.2685 0.0000 0.6497
Er5 Er 0.5000 0.0000 0.4103
Er6 Er 0.5000 0.0000 0.8591
Er7 Er 0.5000 0.2048 0.1378
Tm1 Tm 0.0000 0.0000 0.4476
```

Main lines, low angle first (2θ from 5° to 70°):
(1 2 2), 28.6 deg, intensity 9; (2 1 3), 31.3 deg, intensity 17; (2 2 2), 32.0 deg, intensity 100; (0 0 4), 32.4 deg, intensity 15; (4 0 0), 32.7 deg, intensity 33; (1 0 4), 33.4 deg, intensity 11; (4 0 4), 46.7 deg, intensity 10; (0 3 5), 53.7 deg, intensity 9; (6 2 2), 57.9 deg, intensity 17; (4 3 5), 64.3 deg, intensity 10



# KPr2Re2N6
Simulated XRD peak list, Cu Kα (weighted mean of Kα1 and Kα2). Input: a DFT-relaxed cell (GGA-PBE, Alexandria).

Crystal structure
```
data_KPr2Re2N6
_cell_length_a 6.2890
_cell_length_b 6.8305
_cell_length_c 6.9112
_cell_angle_alpha 97.67
_cell_angle_beta 113.56
_cell_angle_gamma 115.38
_symmetry_space_group_name_H-M 'P -1'
_symmetry_Int_Tables_number 2
_symmetry_space_group_name_Hall '-P 1'
loop_
_atom_site_label
_atom_site_type_symbol
_atom_site_fract_x
_atom_site_fract_y
_atom_site_fract_z
K1 K 0.0000 0.0000 0.0000
Pr1 Pr 0.3581 0.6698 0.2796
Re1 Re 0.2258 0.6665 0.6836
N1 N 0.1378 0.6684 0.9094
N2 N 0.2971 0.9104 0.5945
N3 N 0.4699 0.5840 0.7152
```

Main lines, low angle first (2θ from 5° to 70°):
(0 1 0), 15.4 deg, intensity 52; (1 -1 0), 16.4 deg, intensity 100; (1 0 -2), 26.2 deg, intensity 28; (1 -2 0), 26.4 deg, intensity 58; (-2 1 1), 28.5 deg, intensity 23; (1 1 0), 29.6 deg, intensity 54; (1 1 -2), 29.8 deg, intensity 40; (0 0 2), 30.3 deg, intensity 27; (2 -1 0), 31.2 deg, intensity 22; (-2 1 2), 33.4 deg, intensity 29



# MgSi2
Simulated XRD peak list, Cu Kα (weighted mean of Kα1 and Kα2). Input: a DFT-relaxed cell (GGA-PBE, Alexandria).

Crystal structure
```
data_MgSi2
_cell_length_a 5.8773
_cell_length_b 7.5751
_cell_length_c 9.3620
_cell_angle_alpha 90.00
_cell_angle_beta 90.00
_cell_angle_gamma 90.00
_symmetry_space_group_name_H-M 'P m c 21'
_symmetry_Int_Tables_number 26
_symmetry_space_group_name_Hall 'P 2c -2'
loop_
_atom_site_label
_atom_site_type_symbol
_atom_site_fract_x
_atom_site_fract_y
_atom_site_fract_z
Mg1 Mg 0.0000 0.0172 0.0000
Mg2 Mg 0.0000 0.4779 0.6882
Mg3 Mg 0.5000 0.0592 0.4738
Mg4 Mg 0.5000 0.4074 0.6619
Si1 Si 0.2033 0.3503 0.4230
Si2 Si 0.2094 0.1209 0.7478
Si3 Si 0.2937 0.3329 0.9437
Si4 Si 0.2966 0.1986 0.1983
```

Main lines, low angle first (2θ from 5° to 70°):
(1 2 1), 29.6 deg, intensity 24; (2 0 0), 30.4 deg, intensity 15; (0 3 1), 36.9 deg, intensity 20; (2 1 2), 38.1 deg, intensity 100; (0 0 4), 38.5 deg, intensity 44; (2 2 0), 38.8 deg, intensity 33; (0 1 4), 40.3 deg, intensity 21; (0 3 2), 40.6 deg, intensity 68; (3 1 1), 49.0 deg, intensity 16; (2 2 4), 55.8 deg, intensity 15